# As3Pb5ClO9
Calculated XRD peak list, CuKα. Input: the GGA-PBE geometry in Alexandria.
Neutral-atom scattering factors, no anomalous dispersion.

Most intense lines, 2θ = 5–70°, in order of rising 2θ:
Position (°2θ)  Rel. int.  h k l
15.1  11  1 0 1
20.4  20  1 1 1
23.5  13  0 0 2
25.5  27  2 1 0
29.0  100  3 0 0
35.0  25  1 2 2
37.7  12  3 0 2
41.5  12  2 2 2
42.7  14  1 3 2
51.4  18  3 3 0

Atomic structure:
abc: 10.6549 10.6549 7.5622
angles: 90.00 90.00 120.00
Sites, in units of the cell vectors:
As 0.0415 0.7018 0.0000
As 0.2982 0.3397 0.0000
As 0.3397 0.0415 0.5000
As 0.6603 0.9585 0.0000
As 0.7018 0.6603 0.5000
As 0.9585 0.2982 0.5000
Pb 0.0000 0.0000 0.1936
Pb 0.0000 0.0000 0.6936
Pb 0.0488 0.6904 0.4990
Pb 0.3096 0.3584 0.4990
Pb 0.3333 0.6667 0.8420
Pb 0.3584 0.0488 0.9990
Pb 0.6416 0.9512 0.4990
Pb 0.6667 0.3333 0.3420
Pb 0.6904 0.6416 0.9990
Pb 0.9512 0.3096 0.9990
Cl 0.3333 0.6667 0.4881
Cl 0.6667 0.3333 0.9881
O 0.0566 0.1976 0.4777
O 0.1388 0.7317 0.7889
O 0.1410 0.9434 0.4777
O 0.1694 0.3581 0.1268
O 0.1887 0.8306 0.1268
O 0.1976 0.1410 0.9777
O 0.2683 0.4071 0.7889
O 0.3581 0.1887 0.6268
O 0.4071 0.1388 0.2889
O 0.5929 0.8612 0.7889
O 0.6419 0.8113 0.1268
O 0.7317 0.5929 0.2889
O 0.8024 0.8590 0.4777
O 0.8113 0.1694 0.6268
O 0.8306 0.6419 0.6268
O 0.8590 0.0566 0.9777
O 0.8612 0.2683 0.2889
O 0.9434 0.8024 0.9777

=====

# Tl5Cd7
Calculated XRD peak list, CuKα. Input: the GGA-PBE geometry in Alexandria.
Neutral-atom scattering factors, no anomalous dispersion.

Most intense lines, 2θ = 5–70°, in order of rising 2θ:
Position (°2θ)  Rel. int.  h k l
32.4  100  0 3 2
33.1  95  1 0 2
36.5  33  0 0 4
38.7  64  1 3 0
54.2  42  1 3 4
55.0  11  0 6 0
63.1  11  0 3 6
63.5  11  1 0 6
65.7  25  1 6 2
67.0  24  2 3 2

Atomic structure:
abc: 3.2392 10.0142 9.8557
angles: 90.00 90.00 90.00
Sites, in units of the cell vectors:
Tl 0.0000 0.0000 0.0000
Tl 0.0000 0.3365 0.5263
Tl 0.0000 0.6635 0.5263
Tl 0.5000 0.1677 0.2687
Tl 0.5000 0.8323 0.2687
Cd 0.0000 0.0000 0.5519
Cd 0.0000 0.3353 0.0092
Cd 0.0000 0.6647 0.0092
Cd 0.5000 0.1767 0.7705
Cd 0.5000 0.5000 0.2400
Cd 0.5000 0.5000 0.7870
Cd 0.5000 0.8233 0.7705